1.
For LiFeP2O7, a PBE+U-relaxed structure gives the simulated X-ray diffraction stick pattern in this record (Cu Kα X-rays).

The 8 most intense peaks (2θ = 10–90°), in order of rising 2θ:
- 14.76°, I 36, hkl 0 0 2
- 22.57°, I 100, hkl 1 1 -2
- 23.57°, I 67, hkl 2 0 0
- 32.00°, I 36, hkl 1 1 -4
- 33.24°, I 12, hkl 2 0 2
- 35.45°, I 18, hkl 0 2 0
- 36.50°, I 11, hkl 3 1 -2
- 64.37°, I 14, hkl 3 3 -2

```
data_LiFeP2O7
_cell_length_a 8.455
_cell_length_b 5.064
_cell_length_c 13.445
_cell_angle_alpha 90.00
_cell_angle_beta 116.75
_cell_angle_gamma 90.00
_symmetry_space_group_name_H-M 'P 1 21/c 1'
_symmetry_Int_Tables_number 14
_symmetry_space_group_name_Hall '-P 2ybc'
loop_
_atom_site_label
_atom_site_fract_x
_atom_site_fract_y
_atom_site_fract_z
Li1 0.083 0.226 0.205
Fe1 0.237 0.238 0.973
P1 0.197 0.733 0.116
P2 0.325 0.745 0.354
O1 0.028 0.657 0.617
O2 0.185 0.066 0.592
O3 0.192 0.548 0.857
O4 0.246 0.035 0.841
O5 0.259 0.612 0.544
O6 0.348 0.709 0.742
O7 0.489 0.219 0.553
```

---

2.
For Li2FeP2O8, a PBE+U-relaxed structure gives the simulated X-ray diffraction stick pattern in this record (Cu Kα X-rays).

The 8 most intense peaks (2θ = 10–90°), in order of rising 2θ:
- 13.82°, I 65, hkl 0 0 1
- 24.37°, I 100, hkl 1 1 1
- 25.65°, I 62, hkl 2 0 -1
- 33.40°, I 25, hkl 0 2 0
- 34.20°, I 30, hkl 1 1 -2
- 34.60°, I 35, hkl 1 1 2
- 37.09°, I 29, hkl 3 1 0
- 64.86°, I 16, hkl 4 2 2

```
data_Li2FeP2O8
_cell_length_a 8.152
_cell_length_b 5.365
_cell_length_c 6.411
_cell_angle_alpha 90.00
_cell_angle_beta 91.24
_cell_angle_gamma 90.00
_symmetry_space_group_name_H-M 'C 1 m 1'
_symmetry_Int_Tables_number 8
_symmetry_space_group_name_Hall 'C -2y'
loop_
_atom_site_label
_atom_site_fract_x
_atom_site_fract_y
_atom_site_fract_z
Li1 0.000 0.000 0.000
Li2 0.173 0.500 0.241
Fe1 0.173 0.500 0.721
P1 0.030 0.000 0.496
P2 0.324 0.000 0.964
O1 0.139 0.237 0.501
O2 0.209 0.233 0.959
O3 0.417 0.500 0.690
O4 0.429 0.500 0.289
O5 0.430 0.000 0.165
O6 0.436 0.000 0.773
```

---

3.
For Li2FeP2O8, a PBE+U-relaxed structure gives the simulated X-ray diffraction stick pattern in this record (Cu Kα X-rays).

The 8 most intense peaks (2θ = 10–90°), in order of rising 2θ:
- 13.74°, I 35, hkl 1 1 0
- 15.65°, I 36, hkl 1 1 -1
- 21.61°, I 100, hkl 1 2 -1
- 21.95°, I 63, hkl 0 0 2
- 23.26°, I 40, hkl 2 1 0
- 31.60°, I 35, hkl 2 2 -2
- 34.63°, I 26, hkl 0 4 0
- 35.04°, I 33, hkl 2 0 2

```
data_Li2FeP2O8
_cell_length_a 8.556
_cell_length_b 10.360
_cell_length_c 8.413
_cell_angle_alpha 90.00
_cell_angle_beta 105.73
_cell_angle_gamma 90.00
_symmetry_space_group_name_H-M 'P 1 21/c 1'
_symmetry_Int_Tables_number 14
_symmetry_space_group_name_Hall '-P 2ybc'
loop_
_atom_site_label
_atom_site_fract_x
_atom_site_fract_y
_atom_site_fract_z
Li1 0.105 0.168 0.088
Li2 0.133 0.647 0.162
Fe1 0.405 0.664 0.912
P1 0.221 0.085 0.465
P2 0.262 0.598 0.541
O1 0.086 0.104 0.305
O2 0.117 0.672 0.569
O3 0.161 0.146 0.603
O4 0.228 0.044 0.002
O5 0.257 0.564 0.003
O6 0.313 0.666 0.393
O7 0.384 0.144 0.449
O8 0.411 0.616 0.699
```

---

4.
For LiFe2P3O12, a PBE+U-relaxed structure gives the simulated X-ray diffraction stick pattern in this record (Cu Kα X-rays).

The 8 most intense peaks (2θ = 10–90°), in order of rising 2θ:
- 13.61°, I 32, hkl 0 0 3
- 24.46°, I 100, hkl 1 1 3
- 25.95°, I 58, hkl 2 0 -3
- 33.89°, I 35, hkl 0 2 0
- 34.09°, I 47, hkl 1 1 -6
- 34.37°, I 53, hkl 1 1 6
- 37.75°, I 42, hkl 3 1 0
- 44.12°, I 27, hkl 0 2 6

```
data_LiFe2P3O12
_cell_length_a 8.009
_cell_length_b 5.291
_cell_length_c 19.527
_cell_angle_alpha 90.00
_cell_angle_beta 90.88
_cell_angle_gamma 90.00
_symmetry_space_group_name_H-M 'C 1 2/m 1'
_symmetry_Int_Tables_number 12
_symmetry_space_group_name_Hall '-C 2y'
loop_
_atom_site_label
_atom_site_fract_x
_atom_site_fract_y
_atom_site_fract_z
Li1 0.000 0.000 0.166
Fe1 0.000 0.000 0.000
Fe2 0.000 0.000 0.500
Fe3 0.005 0.000 0.668
P1 0.144 0.500 0.079
P2 0.149 0.500 0.746
P3 0.151 0.500 0.417
O1 0.034 0.260 0.076
O2 0.037 0.258 0.418
O3 0.038 0.260 0.743
O4 0.232 0.000 0.315
O5 0.239 0.000 0.518
O6 0.239 0.000 0.983
O7 0.240 0.500 0.148
O8 0.243 0.500 0.816
O9 0.244 0.000 0.648
```

---

5.
For LiFeP2O7, a PBE+U-relaxed structure gives the simulated X-ray diffraction stick pattern in this record (Cu Kα X-rays).

The 8 most intense peaks (2θ = 10–90°), in order of rising 2θ:
- 17.13°, I 100, hkl 1 1 -1
- 21.94°, I 22, hkl 1 1 1
- 22.37°, I 32, hkl 0 1 2
- 26.59°, I 18, hkl 2 0 0
- 28.75°, I 27, hkl 2 1 0
- 28.95°, I 19, hkl 2 1 -2
- 29.28°, I 66, hkl 0 2 2
- 29.76°, I 22, hkl 1 1 -3

```
data_LiFeP2O7
_cell_length_a 7.182
_cell_length_b 8.242
_cell_length_c 9.717
_cell_angle_alpha 90.00
_cell_angle_beta 111.01
_cell_angle_gamma 90.00
_symmetry_space_group_name_H-M 'P 1 21/c 1'
_symmetry_Int_Tables_number 14
_symmetry_space_group_name_Hall '-P 2ybc'
loop_
_atom_site_label
_atom_site_fract_x
_atom_site_fract_y
_atom_site_fract_z
Li1 0.171 0.114 0.250
Fe1 0.236 0.001 0.749
P1 0.185 0.693 0.944
P2 0.408 0.231 0.052
O1 0.061 0.560 0.841
O2 0.123 0.637 0.379
O3 0.196 0.680 0.102
O4 0.284 0.166 0.616
O5 0.290 0.199 0.888
O6 0.404 0.657 0.939
O7 0.485 0.077 0.143
```

---

6.
For LiFeP2O7, a PBE+U-relaxed structure gives the simulated X-ray diffraction stick pattern in this record (Cu Kα X-rays).

The 8 most intense peaks (2θ = 10–90°), in order of rising 2θ:
- 13.93°, I 32, hkl 0 1 0
- 16.21°, I 100, hkl 1 0 1
- 20.10°, I 54, hkl 0 1 -1
- 27.85°, I 54, hkl 0 0 2
- 28.42°, I 48, hkl 2 0 1
- 29.88°, I 33, hkl 2 1 1
- 30.86°, I 56, hkl 0 2 1
- 31.97°, I 40, hkl 0 2 -1

```
data_LiFeP2O7
_cell_length_a 6.364
_cell_length_b 6.425
_cell_length_c 6.956
_cell_angle_alpha 84.61
_cell_angle_beta 67.22
_cell_angle_gamma 81.93
_symmetry_space_group_name_H-M 'P -1'
_symmetry_Int_Tables_number 2
_symmetry_space_group_name_Hall '-P 1'
loop_
_atom_site_label
_atom_site_fract_x
_atom_site_fract_y
_atom_site_fract_z
Li1 0.207 0.003 0.335
Fe1 0.401 0.351 0.724
P1 0.157 0.612 0.142
P2 0.287 0.864 0.729
O1 0.095 0.401 0.717
O2 0.111 0.947 0.639
O3 0.148 0.793 0.967
O4 0.277 0.409 0.029
O5 0.284 0.693 0.262
O6 0.437 0.030 0.739
O7 0.447 0.667 0.620
```